Record 1
Starting from the PBE geometry in the Materials Project, the powder X-ray diffraction pattern of BeCuO5F4 was computed for CuKα.
Kinematic intensities with the Lorentz-polarization factor, no thermal factor.

Crystal structure
```
22
Lattice="5.3068 0.0000 0.0000 2.4995 6.0498 0.0000 0.9716 3.0346 10.1412" Properties=species:S:1:pos:R:3 pbc="T T T"
Be 1.4857 2.3710 2.7862
Be 7.2922 6.7133 7.3550
Cu 2.6534 0.0000 0.0000
Cu 3.1392 1.5173 5.0706
O 2.0457 4.5896 1.2550
O 3.5162 7.6453 5.4846
O 2.5938 4.1836 8.7963
O 4.6407 7.7526 9.6499
O 4.3535 4.6417 4.6074
O 4.4244 4.4426 5.5338
O 4.1372 1.3317 0.4914
O 6.1841 4.9007 1.3450
O 5.2617 1.4390 4.6567
O 6.7322 4.4947 8.8862
F 1.9609 4.0933 3.5333
F 3.5460 7.1317 7.6179
F 1.9225 1.5521 1.3562
F 2.2909 1.4729 3.5226
F 6.4870 7.6115 6.6187
F 6.8554 7.5322 8.7850
F 5.2319 1.9526 2.5233
F 6.8170 4.9910 6.6079
```

Peak list (12 most intense, 2θ = 10–90°, in order of falling intensity)
5.796 Å, 2θ = 15.29°, I 1000
3.571 Å, 2θ = 24.94°, I 665
4.510 Å, 2θ = 19.69°, I 632
4.708 Å, 2θ = 18.85°, I 607
3.025 Å, 2θ = 29.53°, I 603
5.071 Å, 2θ = 17.49°, I 501
2.354 Å, 2θ = 38.23°, I 279
2.899 Å, 2θ = 30.84°, I 275
3.041 Å, 2θ = 29.37°, I 255
2.229 Å, 2θ = 40.46°, I 233
3.480 Å, 2θ = 25.60°, I 222
2.254 Å, 2θ = 40.01°, I 209

=====

Record 2
Starting from the PBE geometry in the Materials Project, the powder X-ray diffraction pattern of BeCuO5F4 was computed for CuKα.
Kinematic intensities with the Lorentz-polarization factor, no thermal factor.

Crystal structure
```
22
Lattice="4.9670 0.0000 0.0000 -1.5498 6.3348 0.0000 -0.0274 -0.8304 9.1093" Properties=species:S:1:pos:R:3 pbc="T T T"
Be -0.3171 2.7390 2.3477
Be 3.7069 2.7654 6.7616
Cu 2.4698 -0.4152 4.5546
Cu 1.7086 3.1674 0.0000
O -0.9869 5.6974 1.2560
O 0.7735 -0.3762 5.2551
O -0.2359 5.4530 0.3451
O 1.2185 4.3840 5.3800
O 2.0511 0.8230 8.1602
O 1.3386 4.6814 0.9491
O 2.1713 1.1204 3.7293
O 3.6257 0.0514 8.7642
O 2.6163 5.8806 3.8542
O 4.3766 -0.1930 7.8533
F -0.1892 1.7526 3.5092
F 0.0881 2.5994 7.4228
F 0.6594 2.1363 1.1103
F 0.3707 4.1339 2.6900
F 3.0191 1.3705 6.4193
F 2.7304 3.3681 7.9990
F 3.3017 2.9051 1.6865
F 3.5790 3.7518 5.6001
```

Peak list (12 most intense, 2θ = 10–90°, in order of falling intensity)
5.422 Å, 2θ = 16.35°, I 1000
4.979 Å, 2θ = 17.81°, I 673
4.002 Å, 2θ = 22.21°, I 638
4.555 Å, 2θ = 19.49°, I 553
3.272 Å, 2θ = 27.26°, I 490
3.304 Å, 2θ = 26.98°, I 437
3.543 Å, 2θ = 25.13°, I 410
3.158 Å, 2θ = 28.26°, I 356
4.823 Å, 2θ = 18.39°, I 301
2.172 Å, 2θ = 41.59°, I 290
2.363 Å, 2θ = 38.08°, I 257
2.583 Å, 2θ = 34.73°, I 248

=====

Record 3
Starting from the PBE geometry in the Materials Project, the powder X-ray diffraction pattern of Be2Tl2CuO6F8 was computed for CuKα.
Kinematic intensities with the Lorentz-polarization factor, no thermal factor.

Crystal structure
```
38
Lattice="5.0746 0.0000 0.0000 0.0000 14.0147 0.0000 -3.8688 0.0000 8.2561" Properties=species:S:1:pos:R:3 pbc="T T T"
Be 0.8825 1.9330 0.4135
Be -1.0519 5.0744 4.5415
Be 2.2577 8.9404 3.7146
Be 0.3233 12.0817 7.8427
Tl -0.5052 8.5637 6.0174
Tl 1.4292 12.4584 1.8893
Tl -0.2235 1.5563 6.3668
Tl 1.7110 5.4510 2.2387
Cu -1.9344 0.0000 4.1281
Cu 0.0000 7.0074 0.0000
O -2.9419 8.7809 8.0001
O -1.0074 12.2412 3.8720
O 1.0864 9.4695 0.7600
O -0.8480 11.5526 4.8880
O -0.3904 0.8833 4.4605
O 1.5440 6.1241 0.3325
O -0.3382 7.8906 7.9237
O 1.5962 13.1314 3.7956
O 2.0538 2.4621 3.3681
O 0.1194 4.5452 7.4962
O 2.2132 1.7735 4.3841
O 4.1476 5.2338 0.2560
F -1.1734 9.0035 4.0678
F -3.1078 12.0186 8.1958
F -2.3988 1.6581 7.2072
F -0.4644 5.3493 3.0791
F 1.1080 0.7140 1.3190
F -0.8264 6.2934 5.4470
F 1.2959 3.2749 1.0099
F -0.6386 3.7324 5.1380
F 1.8443 10.2823 3.1181
F -0.0901 10.7398 7.2462
F 2.0321 7.7213 2.8091
F 0.0977 13.3007 6.9372
F 1.6701 8.6654 5.1770
F 3.6046 12.3567 1.0490
F 4.3135 1.9961 0.0603
F 2.3791 5.0112 4.1884
```

Peak list (12 most intense, 2θ = 10–90°, in order of falling intensity)
5.342 Å, 2θ = 16.59°, I 1000
4.039 Å, 2θ = 22.01°, I 590
4.080 Å, 2θ = 21.79°, I 386
3.090 Å, 2θ = 28.90°, I 293
4.595 Å, 2θ = 19.32°, I 252
3.503 Å, 2θ = 25.43°, I 227
2.786 Å, 2θ = 32.13°, I 168
2.746 Å, 2θ = 32.61°, I 150
2.671 Å, 2θ = 33.55°, I 150
2.041 Å, 2θ = 44.38°, I 139
2.562 Å, 2θ = 35.03°, I 137
2.511 Å, 2θ = 35.76°, I 135

=====

Record 4
Starting from the PBE geometry in the Materials Project, the powder X-ray diffraction pattern of Be4CuGe was computed for CuKα.
Kinematic intensities with the Lorentz-polarization factor, no thermal factor.

Crystal structure
```
6
Lattice="0.0000 3.1230 3.1230 3.1230 0.0000 3.1230 3.1230 3.1230 0.0000" Properties=species:S:1:pos:R:3 pbc="T T T"
Be 2.3466 2.3466 2.3466
Be 3.8995 3.8995 2.3466
Be 3.8995 2.3466 3.8995
Be 2.3466 3.8995 3.8995
Cu 4.6846 4.6846 4.6846
Ge 0.0000 0.0000 0.0000
```

Peak list (9 most intense, 2θ = 10–90°, in order of falling intensity)
2.208 Å, 2θ = 40.86°, I 1000
3.606 Å, 2θ = 24.69°, I 961
1.883 Å, 2θ = 48.33°, I 751
1.275 Å, 2θ = 74.41°, I 313
1.202 Å, 2θ = 79.78°, I 217
1.433 Å, 2θ = 65.09°, I 185
1.104 Å, 2θ = 88.56°, I 138
1.562 Å, 2θ = 59.17°, I 112
1.803 Å, 2θ = 50.62°, I 10